(1)
P6Pb5O11: computed powder X-ray diffraction pattern (Cu Ka), based on the GGA-PBE geometry in the Materials Project.
Kinematic intensities with the Lorentz-polarization factor, no thermal factor.

Peak list (6 most intense, 10 to 80 degrees two-theta, in order of rising 2θ)
2θ (°)  d_spacing  I (rel.)  h k l
12.68  6.981  62.3  0 1 -1
19.84  4.475  74.6  0 0 3
21.80  4.077  68.9  -1 1 1
25.57  3.483  94.7  1 -1 2
27.07  3.294  100.0  0 2 1
27.45  3.250  97.1  1 1 -3

Structural model:
```
data_P6Pb5O11
_chemical_formula_sum 'P6 Pb5 O11'
_cell_length_a 4.7229
_cell_length_b 7.4123
_cell_length_c 13.9405
_cell_angle_alpha 100.80
_cell_angle_beta 99.57
_cell_angle_gamma 97.71
_space_group_name_H-M_alt 'P 1'
_space_group_IT_number 1
loop_
_space_group_symop_operation_xyz
'x,y,z'
loop_
_atom_site_label
_atom_site_type_symbol
_atom_site_fract_x
_atom_site_fract_y
_atom_site_fract_z
P1 P 0.0000 0.0000 0.0000
P2 P 0.0186 0.1080 0.7605
P3 P 0.2883 0.6200 0.6604
P4 P 0.3382 0.7568 0.4248
P5 P 0.6216 0.2508 0.3414
P6 P 0.6762 0.5405 0.0824
Pb1 Pb 0.1279 0.2715 0.5193
Pb2 Pb 0.1509 0.3823 0.2417
Pb3 Pb 0.4893 0.1007 0.9035
Pb4 Pb 0.8205 0.7508 0.5753
Pb5 Pb 0.8387 0.6149 0.8439
O1 O 0.0257 0.0857 0.1115
O2 O 0.0352 0.0890 0.6483
O3 O 0.1450 0.5888 0.4449
O4 O 0.2804 0.9455 0.4706
O5 O 0.3126 0.6464 0.7790
O6 O 0.3967 0.4751 0.1150
O7 O 0.4294 0.7194 0.3251
O8 O 0.6134 0.3434 0.4521
O9 O 0.6785 0.4282 0.9764
O10 O 0.8463 0.9202 0.7715
O11 O 0.8800 0.2744 0.8024
```

(2)
P4Pb3O13: computed powder X-ray diffraction pattern (Cu Ka), based on the GGA-PBE geometry in the Materials Project.
Kinematic intensities with the Lorentz-polarization factor, no thermal factor.

Peak list (6 most intense, 10 to 80 degrees two-theta, in order of rising 2θ)
2θ (°)  d_spacing  I (rel.)  h k l
18.30  4.849  51.1  1 -1 1
24.73  3.599  80.1  2 0 0
25.30  3.520  66.3  1 -2 1
26.95  3.308  74.5  -1 2 1
27.13  3.287  100.0  1 1 -3
28.76  3.104  54.8  2 1 0

Structural model:
```
data_P4Pb3O13
_chemical_formula_sum 'P8 Pb6 O26'
_cell_length_a 7.5023
_cell_length_b 8.0410
_cell_length_c 10.3998
_cell_angle_alpha 102.68
_cell_angle_beta 104.27
_cell_angle_gamma 94.51
_space_group_name_H-M_alt 'P -1'
_space_group_IT_number 2
loop_
_space_group_symop_operation_xyz
'x,y,z'
'-x,-y,-z'
loop_
_atom_site_label
_atom_site_type_symbol
_atom_site_fract_x
_atom_site_fract_y
_atom_site_fract_z
P1 P 0.1356 0.4640 0.3366
P2 P 0.1853 0.1909 0.9657
P3 P 0.3310 0.8043 0.5067
P4 P 0.3570 0.5370 0.1374
Pb1 Pb 0.2056 0.2255 0.6172
Pb2 Pb 0.2459 0.9772 0.2264
Pb3 Pb 0.3159 0.7612 0.8464
O1 O 0.0046 0.1837 0.0058
O2 O 0.0661 0.5060 0.6874
O3 O 0.1554 0.8916 0.4696
O4 O 0.1607 0.1215 0.8115
O5 O 0.1765 0.2866 0.3458
O6 O 0.1988 0.5279 0.2158
O7 O 0.2595 0.5957 0.4735
O8 O 0.2710 0.3959 0.9961
O9 O 0.3395 0.1114 0.0529
O10 O 0.3685 0.7096 0.1031
O11 O 0.4226 0.8489 0.6620
O12 O 0.4601 0.8234 0.4169
O13 O 0.4642 0.5111 0.7837
```

(3)
P3Pb5O13: computed powder X-ray diffraction pattern (Cu Ka), based on the GGA-PBE geometry in the Materials Project.
Kinematic intensities with the Lorentz-polarization factor, no thermal factor.

Peak list (6 most intense, 10 to 80 degrees two-theta, in order of rising 2θ)
2θ (°)  d_spacing  I (rel.)  h k l
25.99  3.428  30.7  1 0 2
27.43  3.251  27.1  1 2 0
29.95  2.984  100.0  1 1 2
43.77  2.068  20.3  2 2 2
45.88  1.978  20.1  1 2 3
48.86  1.864  19.6  4 0 2

Structural model:
```
data_P3Pb5O13
_chemical_formula_sum 'P6 Pb10 O26'
_cell_length_a 9.9330
_cell_length_b 9.9330
_cell_length_c 7.4762
_cell_angle_alpha 90.00
_cell_angle_beta 90.00
_cell_angle_gamma 120.00
_space_group_name_H-M_alt 'P 63/m'
_space_group_IT_number 176
_space_group_name_Hall '-P 6c'
loop_
_atom_site_label
_atom_site_type_symbol
_atom_site_fract_x
_atom_site_fract_y
_atom_site_fract_z
P1 P 0.0302 0.6311 0.2500
Pb1 Pb 0.0031 0.7671 0.7500
Pb2 Pb 0.3333 0.6667 0.9996
O1 O 0.0000 0.0000 0.2500
O2 O 0.0849 0.7401 0.0825
O3 O 0.1157 0.5343 0.2500
O4 O 0.1492 0.4791 0.7500
```

(4)
P3Pb4O12: computed powder X-ray diffraction pattern (Cu Ka), based on the GGA-PBE geometry in the Materials Project.
Kinematic intensities with the Lorentz-polarization factor, no thermal factor.

Peak list (6 most intense, 10 to 80 degrees two-theta, in order of rising 2θ)
2θ (°)  d_spacing  I (rel.)  h k l
20.51  4.330  57.3  2 1 1
26.57  3.354  100.0  3 1 0
31.56  2.835  70.1  3 2 1
41.72  2.165  40.8  4 2 2
43.50  2.080  57.4  5 1 0
53.23  1.721  29.9  5 3 2

Structural model:
```
data_P3Pb4O12
_chemical_formula_sum 'P12 Pb16 O48'
_cell_length_a 10.6072
_cell_length_b 10.6072
_cell_length_c 10.6072
_cell_angle_alpha 90.00
_cell_angle_beta 90.00
_cell_angle_gamma 90.00
_space_group_name_H-M_alt 'I -4 3 d'
_space_group_IT_number 220
_space_group_name_Hall 'I -4bd 2c 3'
loop_
_atom_site_label
_atom_site_type_symbol
_atom_site_fract_x
_atom_site_fract_y
_atom_site_fract_z
P1 P 0.0000 0.2500 0.8750
Pb1 Pb 0.0752 0.4248 0.5752
O1 O 0.0427 0.3901 0.1975
```

(5)
P3Pb5O13: computed powder X-ray diffraction pattern (Cu Ka), based on the GGA-PBE geometry in the Materials Project.
Kinematic intensities with the Lorentz-polarization factor, no thermal factor.

Peak list (6 most intense, 10 to 80 degrees two-theta, in order of rising 2θ)
2θ (°)  d_spacing  I (rel.)  h k l
26.46  3.369  47.9  1 0 2
27.53  3.240  49.6  1 2 0
30.16  2.963  100.0  1 2 1
30.36  2.944  69.8  1 1 2
44.17  2.050  34.6  2 2 2
48.68  1.870  34.9  4 1 0

Structural model:
```
data_P3Pb5O13
_chemical_formula_sum 'P6 Pb10 O26'
_cell_length_a 9.8970
_cell_length_b 9.8970
_cell_length_c 7.3266
_cell_angle_alpha 90.00
_cell_angle_beta 90.00
_cell_angle_gamma 120.00
_space_group_name_H-M_alt 'P 63/m'
_space_group_IT_number 176
_space_group_name_Hall '-P 6c'
loop_
_atom_site_label
_atom_site_type_symbol
_atom_site_fract_x
_atom_site_fract_y
_atom_site_fract_z
P1 P 0.0193 0.4042 0.2500
Pb1 Pb 0.0150 0.7833 0.2500
Pb2 Pb 0.3333 0.6667 0.5011
O1 O 0.0000 0.0000 0.0000
O2 O 0.0776 0.3532 0.0798
O3 O 0.0983 0.5860 0.2500
O4 O 0.1610 0.6736 0.7500
```

(6)
P4Pb2O15: computed powder X-ray diffraction pattern (Cu Ka), based on the GGA-PBE geometry in the Materials Project.
Kinematic intensities with the Lorentz-polarization factor, no thermal factor.

Peak list (6 most intense, 10 to 80 degrees two-theta, in order of rising 2θ)
2θ (°)  d_spacing  I (rel.)  h k l
14.20  6.237  100.0  1 0 1
18.65  4.759  58.3  0 1 2
18.86  4.706  56.4  1 2 1
24.48  3.636  43.0  1 0 -2
26.74  3.334  88.1  1 -2 0
28.42  3.141  46.9  2 0 -1

Structural model:
```
data_P4Pb2O15
_chemical_formula_sum 'P8 Pb4 O30'
_cell_length_a 7.7349
_cell_length_b 9.8452
_cell_length_c 10.2629
_cell_angle_alpha 69.00
_cell_angle_beta 73.40
_cell_angle_gamma 68.94
_space_group_name_H-M_alt 'P -1'
_space_group_IT_number 2
loop_
_space_group_symop_operation_xyz
'x,y,z'
'-x,-y,-z'
loop_
_atom_site_label
_atom_site_type_symbol
_atom_site_fract_x
_atom_site_fract_y
_atom_site_fract_z
P1 P 0.0935 0.3413 0.2410
P2 P 0.1309 0.9929 0.7472
P3 P 0.2366 0.0235 0.2424
P4 P 0.2894 0.6787 0.7293
Pb1 Pb 0.2130 0.6425 0.3943
Pb2 Pb 0.4675 0.7598 0.9620
O1 O 0.0491 0.4207 0.3510
O2 O 0.0662 0.0460 0.1682
O3 O 0.0923 0.6405 0.8141
O4 O 0.0934 0.1462 0.6426
O5 O 0.1624 0.1594 0.3157
O6 O 0.2289 0.8624 0.6655
O7 O 0.2359 0.3803 0.1060
O8 O 0.2430 0.9619 0.8593
O9 O 0.2743 0.8784 0.3575
O10 O 0.2845 0.2921 0.7679
O11 O 0.3385 0.3012 0.6411
O12 O 0.3395 0.6911 0.1612
O13 O 0.3743 0.6092 0.6098
O14 O 0.3959 0.0532 0.1182
O15 O 0.4054 0.6340 0.8432
```